Entry 1:
This entry pairs a crystal structure of Sr2Pd3O8 with its calculated powder diffractogram. Radiation: λ = 1.5418 Å (Cu Kα). Structure: a cell relaxed with GGA-PBE.
Kinematic intensities with the Lorentz-polarization factor, no thermal factor.

abc: 11.679 6.336 5.368
angles: 90.00 109.97 90.00
Space group C2/m (No. 12)
Inequivalent atoms, fractional coordinates:
Sr 0.219 0.000 0.163 x4
Pd 0.000 0.248 0.500 x4
Pd 0.000 0.500 0.000 x2
O 0.094 0.500 0.403 x4
O 0.100 0.000 0.456 x4
O 0.102 0.280 0.891 x8

Top 10 peaks for 2θ from 10° to 80°, low angle first:
2θ 16.15, I 100.0, hkl 2 0 0; 2θ 25.95, I 69.9, hkl 1 1 1; 2θ 28.16, I 39.0, hkl 3 1 0; 2θ 28.49, I 69.0, hkl 3 1 -1; 2θ 32.63, I 78.2, hkl 4 0 0; 2θ 33.40, I 53.8, hkl 0 2 1; 2θ 34.44, I 55.6, hkl 2 2 -1; 2θ 42.63, I 47.0, hkl 4 2 -1; 2θ 51.80, I 45.8, hkl 4 2 1; 2θ 59.34, I 40.1, hkl 2 2 -3



Entry 2:
This entry pairs a crystal structure of Sn3I5Br with its calculated powder diffractogram. Radiation: λ = 1.5418 Å (Cu Kα). Structure: a cell relaxed with GGA-PBE.
Kinematic intensities with the Lorentz-polarization factor, no thermal factor.

abc: 10.780 31.494 4.650
angles: 90.00 90.00 90.00
Space group Cmmm (No. 65)
Inequivalent atoms, fractional coordinates:
Sn 0.000 0.000 0.000 x2
Sn 0.000 0.159 0.500 x4
Sn 0.000 0.331 0.000 x4
Sn 0.000 0.500 0.500 x2
I 0.000 0.228 0.000 x4
I 0.000 0.431 0.000 x4
I 0.203 0.000 0.500 x4
I 0.203 0.333 0.500 x8
Br 0.000 0.096 0.000 x4

Top 10 peaks for 2θ from 10° to 80°, low angle first:
2θ 16.45, I 43.9, hkl 2 0 0; 2θ 16.89, I 61.8, hkl 0 6 0; 2θ 25.29, I 94.9, hkl 2 0 1; 2θ 25.59, I 86.1, hkl 0 6 1; 2θ 32.63, I 68.3, hkl 3 3 1; 2θ 33.10, I 55.9, hkl 1 9 1; 2θ 33.24, I 38.0, hkl 4 0 0; 2θ 34.16, I 35.3, hkl 0 12 0; 2θ 38.73, I 40.7, hkl 0 0 2; 2θ 40.90, I 100.0, hkl 3 9 1